Entry 1:
# CeMg5
Theoretical X-ray powder pattern, λ = 1.5418 Å (Cu Kα). Input: a cell relaxed with GGA-PBE.
Lines closer than 0.1° are merged.

Atomic structure:
```
data_CeMg5
_symmetry_space_group_name_H-M 'P 1'
_symmetry_Int_Tables_number 1
_cell_length_a 6.631
_cell_length_b 6.631
_cell_length_c 7.721
_cell_angle_alpha 104.12
_cell_angle_beta 104.12
_cell_angle_gamma 27.35
loop_
_symmetry_equiv_pos_as_xyz
'x,y,z'
loop_
_atom_site_label
_atom_site_fract_x
_atom_site_fract_y
_atom_site_fract_z
_atom_site_occupancy
Ce1 0.000 0.000 0.000 1
Mg1 0.275 0.275 0.062 1
Mg2 0.329 0.329 0.662 1
Mg3 0.618 0.618 0.720 1
Mg4 0.673 0.673 0.346 1
Mg5 0.946 0.946 0.398 1
```

Peak list (10 most intense, 2θ = 5–70°, in order of rising 2θ)
| Position (°2θ) | intensity |
| --- | --- |
| 11.84 | 100 |
| 14.20 | 66 |
| 16.06 | 56 |
| 20.71 | 34 |
| 29.38 | 28 |
| 32.46 | 100 |
| 33.81 | 39 |
| 35.87 | 70 |
| 36.06 | 48 |
| 36.96 | 65 |



Entry 2:
# CeMg6Mn
Theoretical X-ray powder pattern, λ = 1.5418 Å (Cu Kα). Input: a cell relaxed with GGA-PBE.
Lines closer than 0.1° are merged.

Atomic structure:
```
data_CeMg6Mn
_symmetry_space_group_name_H-M 'P 1'
_symmetry_Int_Tables_number 1
_cell_length_a 4.600
_cell_length_b 6.854
_cell_length_c 6.854
_cell_angle_alpha 54.90
_cell_angle_beta 90.00
_cell_angle_gamma 90.00
loop_
_symmetry_equiv_pos_as_xyz
'x,y,z'
loop_
_atom_site_label
_atom_site_fract_x
_atom_site_fract_y
_atom_site_fract_z
_atom_site_occupancy
Ce1 0.000 0.000 0.000 1
Mg1 0.000 0.449 0.449 1
Mg2 0.000 0.467 0.970 1
Mg3 0.000 0.970 0.467 1
Mg4 0.500 0.110 0.621 1
Mg5 0.500 0.606 0.606 1
Mg6 0.500 0.621 0.110 1
Mn1 0.500 0.068 0.068 1
```

Peak list (10 most intense, 2θ = 5–70°, in order of rising 2θ)
| Position (°2θ) | intensity |
| --- | --- |
| 14.56 | 63 |
| 15.80 | 100 |
| 25.04 | 21 |
| 26.11 | 35 |
| 31.92 | 61 |
| 35.38 | 56 |
| 37.57 | 52 |
| 39.17 | 29 |
| 42.48 | 16 |
| 51.39 | 31 |



Entry 3:
# CeMg6Mn
Theoretical X-ray powder pattern, λ = 1.5418 Å (Cu Kα). Input: a cell relaxed with GGA-PBE.
Lines closer than 0.1° are merged.

Atomic structure:
```
data_CeMg6Mn
_symmetry_space_group_name_H-M 'P 1'
_symmetry_Int_Tables_number 1
_cell_length_a 5.082
_cell_length_b 6.654
_cell_length_c 6.654
_cell_angle_alpha 50.48
_cell_angle_beta 90.00
_cell_angle_gamma 90.00
loop_
_symmetry_equiv_pos_as_xyz
'x,y,z'
loop_
_atom_site_label
_atom_site_fract_x
_atom_site_fract_y
_atom_site_fract_z
_atom_site_occupancy
Ce1 0.000 0.000 0.000 1
Mg1 0.000 0.498 0.998 1
Mg2 0.000 0.998 0.498 1
Mg3 0.500 0.153 0.639 1
Mg4 0.500 0.159 0.159 1
Mg5 0.500 0.615 0.615 1
Mg6 0.500 0.639 0.153 1
Mn1 0.000 0.482 0.482 1
```

Peak list (10 most intense, 2θ = 5–70°, in order of rising 2θ)
| Position (°2θ) | intensity |
| --- | --- |
| 14.72 | 76 |
| 17.27 | 27 |
| 17.45 | 48 |
| 22.90 | 46 |
| 24.65 | 33 |
| 34.64 | 92 |
| 34.96 | 48 |
| 35.33 | 50 |
| 39.33 | 100 |
| 50.55 | 33 |



Entry 4:
# CeMg14Mo
Theoretical X-ray powder pattern, λ = 1.5418 Å (Cu Kα). Input: a cell relaxed with GGA-PBE.
Lines closer than 0.1° are merged.

Atomic structure:
```
data_CeMg14Mo
_symmetry_space_group_name_H-M 'P 1'
_symmetry_Int_Tables_number 1
_cell_length_a 6.504
_cell_length_b 6.504
_cell_length_c 10.274
_cell_angle_alpha 90.00
_cell_angle_beta 90.00
_cell_angle_gamma 120.00
loop_
_symmetry_equiv_pos_as_xyz
'x,y,z'
loop_
_atom_site_label
_atom_site_fract_x
_atom_site_fract_y
_atom_site_fract_z
_atom_site_occupancy
Ce1 0.000 0.000 0.000 1
Mg1 0.017 0.508 0.000 1
Mg2 0.163 0.326 0.269 1
Mg3 0.163 0.326 0.731 1
Mg4 0.163 0.837 0.269 1
Mg5 0.163 0.837 0.731 1
Mg6 0.492 0.508 0.000 1
Mg7 0.492 0.983 0.000 1
Mg8 0.504 0.007 0.500 1
Mg9 0.504 0.496 0.500 1
Mg10 0.667 0.333 0.235 1
Mg11 0.667 0.333 0.765 1
Mg12 0.674 0.837 0.269 1
Mg13 0.674 0.837 0.731 1
Mg14 0.993 0.496 0.500 1
Mo1 0.000 0.000 0.500 1
```

Peak list (10 most intense, 2θ = 5–70°, in order of rising 2θ)
| Position (°2θ) | intensity |
| --- | --- |
| 15.73 | 52 |
| 23.44 | 38 |
| 31.77 | 31 |
| 32.59 | 17 |
| 34.93 | 23 |
| 36.38 | 100 |
| 47.93 | 19 |
| 56.60 | 17 |
| 63.59 | 17 |
| 68.27 | 18 |



Entry 5:
# CeMg14Mo
Theoretical X-ray powder pattern, λ = 1.5418 Å (Cu Kα). Input: a cell relaxed with GGA-PBE.
Lines closer than 0.1° are merged.

Atomic structure:
```
data_CeMg14Mo
_symmetry_space_group_name_H-M 'P 1'
_symmetry_Int_Tables_number 1
_cell_length_a 10.440
_cell_length_b 6.474
_cell_length_c 6.474
_cell_angle_alpha 54.42
_cell_angle_beta 90.00
_cell_angle_gamma 90.00
loop_
_symmetry_equiv_pos_as_xyz
'x,y,z'
loop_
_atom_site_label
_atom_site_fract_x
_atom_site_fract_y
_atom_site_fract_z
_atom_site_occupancy
Ce1 0.000 0.000 0.000 1
Mg1 0.000 0.004 0.495 1
Mg2 0.000 0.495 0.004 1
Mg3 0.227 0.637 0.637 1
Mg4 0.248 0.151 0.642 1
Mg5 0.248 0.642 0.151 1
Mg6 0.265 0.148 0.148 1
Mg7 0.500 0.492 0.492 1
Mg8 0.500 0.495 0.988 1
Mg9 0.500 0.987 0.987 1
Mg10 0.500 0.988 0.495 1
Mg11 0.735 0.148 0.148 1
Mg12 0.752 0.151 0.642 1
Mg13 0.752 0.642 0.151 1
Mg14 0.773 0.637 0.637 1
Mo1 0.000 0.486 0.486 1
```

Peak list (10 most intense, 2θ = 5–70°, in order of rising 2θ)
| Position (°2θ) | intensity |
| --- | --- |
| 8.47 | 100 |
| 15.39 | 28 |
| 16.99 | 22 |
| 17.59 | 40 |
| 23.00 | 20 |
| 34.05 | 33 |
| 34.36 | 38 |
| 35.61 | 64 |
| 38.29 | 80 |
| 49.15 | 22 |



Entry 6:
# NaCeMg6
Theoretical X-ray powder pattern, λ = 1.5418 Å (Cu Kα). Input: a cell relaxed with GGA-PBE.
Lines closer than 0.1° are merged.

Atomic structure:
```
data_NaCeMg6
_symmetry_space_group_name_H-M 'P 1'
_symmetry_Int_Tables_number 1
_cell_length_a 5.280
_cell_length_b 6.751
_cell_length_c 6.751
_cell_angle_alpha 59.80
_cell_angle_beta 90.00
_cell_angle_gamma 90.00
loop_
_symmetry_equiv_pos_as_xyz
'x,y,z'
loop_
_atom_site_label
_atom_site_fract_x
_atom_site_fract_y
_atom_site_fract_z
_atom_site_occupancy
Na1 0.000 0.000 0.000 1
Ce1 0.500 0.173 0.173 1
Mg1 0.000 0.003 0.507 1
Mg2 0.000 0.504 0.504 1
Mg3 0.000 0.507 0.003 1
Mg4 0.500 0.168 0.669 1
Mg5 0.500 0.669 0.168 1
Mg6 0.500 0.673 0.673 1
```

Peak list (10 most intense, 2θ = 5–70°, in order of rising 2θ)
| Position (°2θ) | intensity |
| --- | --- |
| 15.17 | 60 |
| 16.79 | 17 |
| 22.70 | 50 |
| 26.43 | 17 |
| 30.61 | 32 |
| 31.48 | 21 |
| 33.95 | 23 |
| 35.12 | 100 |
| 46.36 | 20 |
| 61.51 | 19 |



Entry 7:
# NaCeMg6
Theoretical X-ray powder pattern, λ = 1.5418 Å (Cu Kα). Input: a cell relaxed with GGA-PBE.
Lines closer than 0.1° are merged.

Atomic structure:
```
data_NaCeMg6
_symmetry_space_group_name_H-M 'P 1'
_symmetry_Int_Tables_number 1
_cell_length_a 5.196
_cell_length_b 6.716
_cell_length_c 6.716
_cell_angle_alpha 59.42
_cell_angle_beta 90.00
_cell_angle_gamma 90.00
loop_
_symmetry_equiv_pos_as_xyz
'x,y,z'
loop_
_atom_site_label
_atom_site_fract_x
_atom_site_fract_y
_atom_site_fract_z
_atom_site_occupancy
Na1 0.000 0.000 0.000 1
Ce1 0.000 0.505 0.505 1
Mg1 0.000 0.001 0.513 1
Mg2 0.000 0.513 0.001 1
Mg3 0.500 0.161 0.657 1
Mg4 0.500 0.166 0.166 1
Mg5 0.500 0.657 0.161 1
Mg6 0.500 0.674 0.674 1
```

Peak list (10 most intense, 2θ = 5–70°, in order of rising 2θ)
| Position (°2θ) | intensity |
| --- | --- |
| 15.19 | 28 |
| 15.33 | 67 |
| 17.06 | 25 |
| 22.98 | 82 |
| 30.93 | 37 |
| 31.73 | 24 |
| 34.52 | 36 |
| 35.29 | 57 |
| 35.54 | 100 |
| 54.66 | 24 |



Entry 8:
# NaCeMg14
Theoretical X-ray powder pattern, λ = 1.5418 Å (Cu Kα). Input: a cell relaxed with GGA-PBE.
Lines closer than 0.1° are merged.

Atomic structure:
```
data_NaCeMg14
_symmetry_space_group_name_H-M 'P 1'
_symmetry_Int_Tables_number 1
_cell_length_a 10.455
_cell_length_b 6.605
_cell_length_c 6.605
_cell_angle_alpha 58.95
_cell_angle_beta 90.00
_cell_angle_gamma 90.00
loop_
_symmetry_equiv_pos_as_xyz
'x,y,z'
loop_
_atom_site_label
_atom_site_fract_x
_atom_site_fract_y
_atom_site_fract_z
_atom_site_occupancy
Na1 0.000 0.000 0.000 1
Ce1 0.000 0.501 0.501 1
Mg1 0.000 0.515 0.996 1
Mg2 0.000 0.996 0.515 1
Mg3 0.247 0.168 0.168 1
Mg4 0.256 0.667 0.667 1
Mg5 0.261 0.165 0.664 1
Mg6 0.261 0.664 0.165 1
Mg7 0.500 0.000 0.500 1
Mg8 0.500 0.002 0.002 1
Mg9 0.500 0.500 0.000 1
Mg10 0.500 0.502 0.502 1
Mg11 0.739 0.165 0.664 1
Mg12 0.739 0.664 0.165 1
Mg13 0.744 0.667 0.667 1
Mg14 0.753 0.168 0.168 1
```

Peak list (10 most intense, 2θ = 5–70°, in order of rising 2θ)
| Position (°2θ) | intensity |
| --- | --- |
| 8.46 | 36 |
| 15.66 | 25 |
| 17.82 | 36 |
| 23.17 | 20 |
| 31.63 | 28 |
| 34.31 | 38 |
| 35.64 | 54 |
| 36.10 | 100 |
| 55.68 | 20 |
| 67.05 | 20 |



Entry 9:
# NaCeMg14
Theoretical X-ray powder pattern, λ = 1.5418 Å (Cu Kα). Input: a cell relaxed with GGA-PBE.
Lines closer than 0.1° are merged.

Atomic structure:
```
data_NaCeMg14
_symmetry_space_group_name_H-M 'P 1'
_symmetry_Int_Tables_number 1
_cell_length_a 6.563
_cell_length_b 6.563
_cell_length_c 10.321
_cell_angle_alpha 90.00
_cell_angle_beta 90.00
_cell_angle_gamma 120.00
loop_
_symmetry_equiv_pos_as_xyz
'x,y,z'
loop_
_atom_site_label
_atom_site_fract_x
_atom_site_fract_y
_atom_site_fract_z
_atom_site_occupancy
Na1 0.000 0.000 0.000 1
Ce1 0.000 0.000 0.500 1
Mg1 0.003 0.501 0.000 1
Mg2 0.012 0.506 0.500 1
Mg3 0.170 0.339 0.247 1
Mg4 0.170 0.339 0.753 1
Mg5 0.170 0.830 0.247 1
Mg6 0.170 0.830 0.753 1
Mg7 0.494 0.506 0.500 1
Mg8 0.494 0.988 0.500 1
Mg9 0.499 0.501 0.000 1
Mg10 0.499 0.997 0.000 1
Mg11 0.661 0.830 0.247 1
Mg12 0.661 0.830 0.753 1
Mg13 0.667 0.333 0.257 1
Mg14 0.667 0.333 0.743 1
```

Peak list (10 most intense, 2θ = 5–70°, in order of rising 2θ)
| Position (°2θ) | intensity |
| --- | --- |
| 8.57 | 29 |
| 15.59 | 22 |
| 17.82 | 36 |
| 23.28 | 20 |
| 31.48 | 27 |
| 34.77 | 24 |
| 36.08 | 100 |
| 56.05 | 18 |
| 63.19 | 18 |
| 67.67 | 19 |



Entry 10:
# CeMg6Ni
Theoretical X-ray powder pattern, λ = 1.5418 Å (Cu Kα). Input: a cell relaxed with GGA-PBE.
Lines closer than 0.1° are merged.

Atomic structure:
```
data_CeMg6Ni
_symmetry_space_group_name_H-M 'P 1'
_symmetry_Int_Tables_number 1
_cell_length_a 4.876
_cell_length_b 7.035
_cell_length_c 7.035
_cell_angle_alpha 48.34
_cell_angle_beta 90.00
_cell_angle_gamma 90.00
loop_
_symmetry_equiv_pos_as_xyz
'x,y,z'
loop_
_atom_site_label
_atom_site_fract_x
_atom_site_fract_y
_atom_site_fract_z
_atom_site_occupancy
Ce1 0.000 0.000 0.000 1
Mg1 0.000 0.495 0.997 1
Mg2 0.000 0.997 0.495 1
Mg3 0.500 0.136 0.628 1
Mg4 0.500 0.159 0.159 1
Mg5 0.500 0.589 0.589 1
Mg6 0.500 0.628 0.136 1
Ni1 0.000 0.433 0.433 1
```

Peak list (10 most intense, 2θ = 5–70°, in order of rising 2θ)
| Position (°2θ) | intensity |
| --- | --- |
| 13.80 | 85 |
| 16.87 | 32 |
| 18.19 | 51 |
| 22.90 | 44 |
| 24.91 | 33 |
| 31.87 | 59 |
| 33.43 | 73 |
| 34.12 | 51 |
| 36.87 | 48 |
| 38.93 | 100 |



Entry 11:
# CeMg6Ni
Theoretical X-ray powder pattern, λ = 1.5418 Å (Cu Kα). Input: a cell relaxed with GGA-PBE.
Lines closer than 0.1° are merged.

Atomic structure:
```
data_CeMg6Ni
_symmetry_space_group_name_H-M 'P 1'
_symmetry_Int_Tables_number 1
_cell_length_a 4.824
_cell_length_b 6.626
_cell_length_c 6.626
_cell_angle_alpha 56.61
_cell_angle_beta 90.00
_cell_angle_gamma 90.00
loop_
_symmetry_equiv_pos_as_xyz
'x,y,z'
loop_
_atom_site_label
_atom_site_fract_x
_atom_site_fract_y
_atom_site_fract_z
_atom_site_occupancy
Ce1 0.000 0.000 0.000 1
Mg1 0.000 0.463 0.463 1
Mg2 0.000 0.475 0.985 1
Mg3 0.000 0.985 0.475 1
Mg4 0.500 0.125 0.613 1
Mg5 0.500 0.613 0.125 1
Mg6 0.500 0.624 0.624 1
Ni1 0.500 0.141 0.141 1
```

Peak list (10 most intense, 2θ = 5–70°, in order of rising 2θ)
| Position (°2θ) | intensity |
| --- | --- |
| 15.19 | 29 |
| 16.02 | 100 |
| 23.93 | 35 |
| 24.48 | 34 |
| 32.36 | 50 |
| 32.83 | 43 |
| 35.98 | 78 |
| 37.28 | 40 |
| 37.48 | 93 |
| 50.18 | 28 |



Entry 12:
# CeYMg2Ni8
Theoretical X-ray powder pattern, λ = 1.5418 Å (Cu Kα). Input: a cell relaxed with GGA-PBE.
Lines closer than 0.1° are merged.

Atomic structure:
```
data_CeYMg2Ni8
_symmetry_space_group_name_H-M 'P 1'
_symmetry_Int_Tables_number 1
_cell_length_a 8.561
_cell_length_b 8.561
_cell_length_c 8.561
_cell_angle_alpha 33.57
_cell_angle_beta 33.57
_cell_angle_gamma 33.57
loop_
_symmetry_equiv_pos_as_xyz
'x,y,z'
loop_
_atom_site_label
_atom_site_fract_x
_atom_site_fract_y
_atom_site_fract_z
_atom_site_occupancy
Ce1 0.000 0.000 0.000 1
Y1 0.500 0.500 0.500 1
Mg1 0.125 0.125 0.125 1
Mg2 0.625 0.625 0.625 1
Ni1 0.060 0.564 0.564 1
Ni2 0.064 0.064 0.561 1
Ni3 0.064 0.561 0.064 1
Ni4 0.312 0.312 0.312 1
Ni5 0.561 0.064 0.064 1
Ni6 0.564 0.060 0.564 1
Ni7 0.564 0.564 0.060 1
Ni8 0.812 0.812 0.812 1
```

Peak list (10 most intense, 2θ = 5–70°, in order of rising 2θ)
| Position (°2θ) | intensity |
| --- | --- |
| 22.02 | 16 |
| 25.48 | 15 |
| 36.34 | 28 |
| 42.90 | 100 |
| 44.91 | 39 |
| 52.34 | 3 |
| 57.45 | 4 |
| 59.09 | 5 |
| 65.39 | 10 |
| 69.91 | 29 |